(1)
The following is a computed PXRD pattern of TbTm3Te. It was derived from a DFT-relaxed cell (GGA-PBE, Alexandria), using Cu Ka.
Kinematic intensities with the Lorentz-polarization factor, no thermal factor.

Largest 8 diffraction maxima, sorted by position, 5 to 70 degrees two-theta:
2θ (°)  I/Imax
27.05  23
29.75  39
31.13  67
32.38  24
32.77  100
35.27  21
35.68  27
56.44  22

Crystal structure
Cell lengths 6.6743, 6.6743, 8.8611 Å; angles 94.70, 94.70, 50.99 degrees
Element x y z (fractional)
Tb  0.0873  0.0873  0.1432
Tb  0.9127  0.9127  0.8568
Tm  0.1237  0.1237  0.6438
Tm  0.3621  0.3621  0.0434
Tm  0.4420  0.4420  0.6628
Tm  0.5580  0.5580  0.3372
Tm  0.6379  0.6379  0.9566
Tm  0.8763  0.8763  0.3562
Te  0.2891  0.2891  0.3736
Te  0.7109  0.7109  0.6264

---

(2)
The following is a computed PXRD pattern of YHo3In4. It was derived from a DFT-relaxed cell (GGA-PBE, Alexandria), using Cu Ka.
Kinematic intensities with the Lorentz-polarization factor, no thermal factor.

Largest 8 diffraction maxima, sorted by position, 5 to 70 degrees two-theta:
2θ (°)  I/Imax
32.92  20
33.38  29
33.99  9
34.17  100
47.59  14
50.58  9
60.17  19
61.97  10

Crystal structure
Cell lengths 10.7359, 7.2185, 5.4420 Å; angles 90.00, 90.00, 90.00 degrees
Element x y z (fractional)
Y  0.0000  0.0000  0.0000
Y  0.5000  0.0000  0.0000
Ho  0.0000  0.5000  0.0000
Ho  0.2500  0.0000  0.4370
Ho  0.2500  0.5000  0.4342
Ho  0.5000  0.5000  0.0000
Ho  0.7500  0.0000  0.5630
Ho  0.7500  0.5000  0.5658
In  0.0000  0.2513  0.5000
In  0.0000  0.7487  0.5000
In  0.2500  0.2513  0.9271
In  0.2500  0.7487  0.9271
In  0.5000  0.2513  0.5000
In  0.5000  0.7487  0.5000
In  0.7500  0.2513  0.0729
In  0.7500  0.7487  0.0729

---

(3)
The following is a computed PXRD pattern of Nd2ZnSnGe. It was derived from a DFT-relaxed cell (GGA-PBE, Alexandria), using Cu Ka.
Kinematic intensities with the Lorentz-polarization factor, no thermal factor.

Largest 8 diffraction maxima, sorted by position, 5 to 70 degrees two-theta:
2θ (°)  I/Imax
22.80  16
25.66  13
30.32  11
32.86  100
39.93  18
40.09  30
52.67  15
64.06  15

Crystal structure
Cell lengths 7.6202, 4.5154, 7.7813 Å; angles 90.00, 90.00, 90.00 degrees
Element x y z (fractional)
Nd  0.0021  0.2500  0.2207
Nd  0.4975  0.2500  0.2207
Nd  0.5025  0.7500  0.7793
Nd  0.9979  0.7500  0.7793
Zn  0.2495  0.7500  0.4063
Zn  0.7505  0.2500  0.5937
Sn  0.2502  0.2500  0.5938
Sn  0.7498  0.7500  0.4062
Ge  0.2499  0.7500  0.0867
Ge  0.7501  0.2500  0.9133